Structure and calculated powder diffraction line list of ThSiBr (a crystal structure in OQMD, relaxed with GGA-PBE; Cu Kα, 1.54184 Å).
No peak broadening, texture or thermal motion is included.

```
ThSiBr
1.0
3.5875 -2.0716 0.0000
3.5875 2.0716 0.0000
-2.4306 0.0000 11.6105
Th Si Br
2 2 2
direct
0.0546 0.0546 0.1612
0.9454 0.9454 0.8388
0.3332 0.3332 0.9998
0.6668 0.6668 0.0002
0.2195 0.2195 0.6637
0.7805 0.7805 0.3363
```

Main lines, low angle first (5° ≤ 2θ ≤ 70°):
Position (°2θ)	d (Å)	I (rel.)
7.61	11.611	1000
15.26	5.805	222
24.95	3.569	851
30.72	2.910	730
32.33	2.769	427
35.93	2.499	342
37.86	2.376	339
37.96	2.370	165
43.70	2.071	491
54.35	1.688	173


Structure and calculated powder diffraction line list of Cd2TeSe (a crystal structure in OQMD, relaxed with GGA-PBE; Cu Kα, 1.54184 Å).
No peak broadening, texture or thermal motion is included.

```
Cd2TeSe
1.0
4.5019 0.0000 0.0000
0.0000 4.5019 0.0000
0.0000 0.0000 6.3548
Cd Te Se
2 1 1
direct
0.0000 0.5000 0.2323
0.5000 0.0000 0.7677
0.0000 0.0000 0.5000
0.5000 0.5000 0.0000
```

Main lines, low angle first (5° ≤ 2θ ≤ 70°):
Position (°2θ)	d (Å)	I (rel.)
19.72	4.502	17
24.23	3.673	1000
31.43	2.846	26
34.55	2.596	19
40.08	2.250	773
47.39	1.918	470
57.94	1.592	86
58.06	1.589	39
59.97	1.543	12
63.76	1.460	184